Computed X-ray diffraction stick pattern
Compound: CeAgAs2
Radiation: Cu Ka
Structure: a PBE-relaxed structure

Atomic structure:
```
32
Lattice="5.790 0.000 0.000 0.000 20.530 0.000 0.000 0.000 5.772" Properties=species:S:1:pos:R:3 pbc="T T T"
Ce 0.064 2.263 1.443
Ce 0.064 8.002 4.329
Ce 2.822 12.610 4.329
Ce 2.822 18.186 1.443
Ce 2.967 2.345 4.329
Ce 2.967 7.920 1.443
Ce 5.726 12.528 1.443
Ce 5.726 18.267 4.329
Ag 1.362 15.398 0.000
Ag 1.362 15.398 2.886
Ag 1.520 5.133 0.000
Ag 1.520 5.133 2.886
Ag 4.269 15.398 0.000
Ag 4.269 15.398 2.886
Ag 4.427 5.133 0.000
Ag 4.427 5.133 2.886
As 0.073 3.234 4.329
As 0.073 7.031 1.443
As 1.556 0.006 2.936
As 1.556 0.006 5.722
As 1.556 10.259 0.050
As 1.556 10.259 2.836
As 2.826 13.511 1.443
As 2.826 17.285 4.329
As 2.964 3.246 1.443
As 2.964 7.020 4.329
As 4.234 20.524 0.050
As 4.234 20.524 2.836
As 4.234 10.271 2.936
As 4.234 10.271 5.722
As 5.717 13.499 4.329
As 5.717 17.297 1.443
```

Top 10 peaks for 2θ = 10–80°, most intense first:
2.518 Å, 2θ 35.7, I = 100
2.044 Å, 2θ 44.3, I = 31
2.566 Å, 2θ 35.0, I = 17
1.599 Å, 2θ 57.7, I = 15
3.197 Å, 2θ 27.9, I = 14
2.173 Å, 2θ 41.6, I = 12
1.252 Å, 2θ 76.0, I = 10
1.255 Å, 2θ 75.8, I = 10
3.797 Å, 2θ 23.4, I = 9
2.624 Å, 2θ 34.2, I = 8

=====

Computed X-ray diffraction stick pattern
Compound: MgAg4As4S4
Radiation: Cu Ka
Structure: a PBE-relaxed structure

Atomic structure:
```
13
Lattice="4.449 0.000 0.000 -0.002 5.511 0.000 0.000 -0.345 12.398" Properties=species:S:1:pos:R:3 pbc="T T T"
Mg 0.000 0.000 0.000
Ag 0.005 0.648 7.122
Ag 0.005 2.807 1.232
Ag 2.230 0.526 10.490
Ag 2.228 3.334 5.023
As 0.000 0.940 2.964
As 4.447 2.637 8.841
As 2.223 3.812 9.193
As 2.223 5.285 3.236
S 0.004 1.824 11.104
S 0.002 2.044 4.936
S 2.223 4.569 1.014
S 2.227 4.802 7.149
```

Top 10 peaks for 2θ = 10–80°, most intense first:
3.263 Å, 2θ 27.3, I = 100
3.350 Å, 2θ 26.6, I = 97
3.461 Å, 2θ 25.7, I = 81
3.614 Å, 2θ 24.6, I = 73
2.224 Å, 2θ 40.6, I = 65
3.319 Å, 2θ 26.9, I = 51
1.838 Å, 2θ 49.6, I = 40
2.017 Å, 2θ 44.9, I = 36
2.208 Å, 2θ 40.9, I = 32
2.734 Å, 2θ 32.8, I = 27

=====

Computed X-ray diffraction stick pattern
Compound: Zn
Radiation: Cu Ka
Structure: a PBE-relaxed structure

Atomic structure:
```
3
Lattice="1.327 0.766 7.416 -1.327 0.766 7.416 0.000 -1.532 7.416" Properties=species:S:1:pos:R:3 pbc="T T T"
Zn 0.000 0.000 0.000
Zn 0.000 0.000 4.939
Zn 0.000 0.000 17.309
```

Top 10 peaks for 2θ = 10–80°, most intense first:
2.124 Å, 2θ 42.6, I = 100
2.042 Å, 2θ 44.4, I = 90
2.472 Å, 2θ 36.3, I = 74
2.286 Å, 2θ 39.4, I = 36
1.327 Å, 2θ 71.0, I = 28
1.373 Å, 2θ 68.3, I = 22
1.307 Å, 2θ 72.3, I = 19
1.772 Å, 2θ 51.6, I = 15
2.251 Å, 2θ 40.1, I = 14
1.599 Å, 2θ 57.7, I = 12